[1]
Diffraction record for PaTe2. The PXRD pattern is computed, not measured: it uses a PBE-relaxed structure and Cu Kα, 1.54184 Å.
Kinematic intensities with the Lorentz-polarization factor, no thermal factor.

Structural model:
Lattice parameters (Å, degrees): 5.7779 5.7779 5.7779 139.41 139.41 58.75
Fractional coordinates of all 3 atoms:
1 Pa 0.0000 0.0000 0.0000
2 Te 0.3425 0.3425 0.0000
3 Te 0.6575 0.6575 0.0000

Largest 12 diffraction maxima, in order of falling intensity, 10° ≤ 2θ ≤ 90°:
| Position (°2θ) | I/Imax |
| --- | --- |
| 34.9 | 100 |
| 31.6 | 66 |
| 58.4 | 46 |
| 45.2 | 25 |
| 64.5 | 16 |
| 74.9 | 11 |
| 73.6 | 11 |
| 76.8 | 10 |
| 17.6 | 9 |
| 23.9 | 9 |
| 65.9 | 8 |
| 54.7 | 7 |

[2]
Diffraction record for AsH6IrPd. The PXRD pattern is computed, not measured: it uses a PBE-relaxed structure and Cu Kα, 1.54184 Å.
Kinematic intensities with the Lorentz-polarization factor, no thermal factor.

Structural model:
Lattice parameters (Å, degrees): 4.5043 4.5043 4.5043 60.00 60.00 60.00
Fractional coordinates of all 9 atoms:
1 As 0.0000 0.0000 0.0000
2 H 0.3465 0.3465 0.6535
3 H 0.3465 0.6535 0.3465
4 H 0.3465 0.6535 0.6535
5 H 0.6535 0.3465 0.3465
6 H 0.6535 0.3465 0.6535
7 H 0.6535 0.6535 0.3465
8 Ir 0.2500 0.2500 0.2500
9 Pd 0.7500 0.7500 0.7500

Largest 11 diffraction maxima, in order of falling intensity, 10° ≤ 2θ ≤ 90°:
| Position (°2θ) | I/Imax |
| --- | --- |
| 40.0 | 100 |
| 28.0 | 42 |
| 72.7 | 34 |
| 24.2 | 20 |
| 57.9 | 17 |
| 65.5 | 16 |
| 49.6 | 13 |
| 47.3 | 11 |
| 86.4 | 11 |
| 63.7 | 5 |
| 77.9 | 4 |

[3]
Diffraction record for Nd2Sm2C2Br2Cl3. The PXRD pattern is computed, not measured: it uses a PBE-relaxed structure and Cu Kα, 1.54184 Å.
Kinematic intensities with the Lorentz-polarization factor, no thermal factor.

Structural model:
Lattice parameters (Å, degrees): 9.8295 9.8295 7.9087 104.74 104.74 22.51
Fractional coordinates of all 11 atoms:
1 Nd 0.1587 0.1587 0.1085
2 Nd 0.8414 0.8414 0.8915
3 Sm 0.4984 0.4984 0.7904
4 Sm 0.5016 0.5016 0.2096
5 C 0.0379 0.0379 0.0236
6 C 0.9621 0.9621 0.9764
7 Br 0.3341 0.3341 0.1801
8 Br 0.6659 0.6659 0.8199
9 Cl 0.0000 0.0000 0.5000
10 Cl 0.3443 0.3443 0.6326
11 Cl 0.6557 0.6557 0.3674

Largest 12 diffraction maxima, in order of falling intensity, 10° ≤ 2θ ≤ 90°:
| Position (°2θ) | I/Imax |
| --- | --- |
| 32.5 | 100 |
| 11.6 | 80 |
| 28.8 | 75 |
| 44.9 | 42 |
| 43.1 | 36 |
| 56.4 | 22 |
| 27.3 | 20 |
| 47.4 | 20 |
| 25.9 | 18 |
| 28.2 | 18 |
| 31.2 | 16 |
| 33.6 | 16 |

[4]
Diffraction record for Zr3Al3C5. The PXRD pattern is computed, not measured: it uses a PBE-relaxed structure and Cu Kα, 1.54184 Å.
Kinematic intensities with the Lorentz-polarization factor, no thermal factor.

Structural model:
Lattice parameters (Å, degrees): 3.3596 3.3596 27.7058 90.00 90.00 120.00
Fractional coordinates of all 22 atoms:
1 Zr 0.0000 0.0000 0.0000
2 Zr 0.0000 0.0000 0.5000
3 Zr 0.3333 0.6667 0.0955
4 Zr 0.3333 0.6667 0.4045
5 Zr 0.6667 0.3333 0.5955
6 Zr 0.6667 0.3333 0.9045
7 Al 0.0000 0.0000 0.2493
8 Al 0.0000 0.0000 0.7493
9 Al 0.3333 0.6667 0.6770
10 Al 0.3333 0.6667 0.8228
11 Al 0.6667 0.3333 0.1770
12 Al 0.6667 0.3333 0.3228
13 C 0.0000 0.0000 0.1525
14 C 0.0000 0.0000 0.3477
15 C 0.0000 0.0000 0.6525
16 C 0.0000 0.0000 0.8477
17 C 0.3333 0.6667 0.5501
18 C 0.3333 0.6667 0.7498
19 C 0.3333 0.6667 0.9500
20 C 0.6667 0.3333 0.0501
21 C 0.6667 0.3333 0.2498
22 C 0.6667 0.3333 0.4500

Largest 12 diffraction maxima, in order of falling intensity, 10° ≤ 2θ ≤ 90°:
| Position (°2θ) | I/Imax |
| --- | --- |
| 32.3 | 100 |
| 33.4 | 82 |
| 38.4 | 71 |
| 54.6 | 54 |
| 36.5 | 50 |
| 40.5 | 33 |
| 64.9 | 28 |
| 69.2 | 24 |
| 39.0 | 23 |
| 42.8 | 18 |
| 65.6 | 17 |
| 56.2 | 16 |

[5]
Diffraction record for ZrSnCl6. The PXRD pattern is computed, not measured: it uses a PBE-relaxed structure and Cu Kα, 1.54184 Å.
Kinematic intensities with the Lorentz-polarization factor, no thermal factor.

Structural model:
Lattice parameters (Å, degrees): 11.6738 6.5327 18.5759 90.00 91.54 90.00
Fractional coordinates of all 48 atoms:
1 Zr 0.0000 0.0088 0.0000
2 Zr 0.0000 0.9912 0.5000
3 Zr 0.3271 0.0148 0.6654
4 Zr 0.3271 0.9852 0.1654
5 Zr 0.8339 0.4800 0.6637
6 Zr 0.8339 0.5200 0.1637
7 Sn 0.1719 0.4971 0.8269
8 Sn 0.1719 0.5029 0.3269
9 Sn 0.4958 0.4889 0.4933
10 Sn 0.4958 0.5111 0.9933
11 Sn 0.6527 0.0113 0.8353
12 Sn 0.6527 0.9887 0.3353
13 Cl 0.0026 0.3197 0.9283
14 Cl 0.0026 0.6803 0.4283
15 Cl 0.1525 0.1457 0.4333
16 Cl 0.1525 0.8543 0.9333
17 Cl 0.1594 0.1519 0.0879
18 Cl 0.1594 0.8481 0.5879
19 Cl 0.1722 0.1404 0.7489
20 Cl 0.1722 0.8596 0.2489
21 Cl 0.3068 0.3188 0.5919
22 Cl 0.3068 0.6812 0.0919
23 Cl 0.3308 0.3107 0.2391
24 Cl 0.3308 0.6893 0.7391
25 Cl 0.3337 0.3364 0.9103
26 Cl 0.3337 0.6636 0.4103
27 Cl 0.4704 0.1306 0.0887
28 Cl 0.4704 0.8694 0.5887
29 Cl 0.4759 0.1767 0.7430
30 Cl 0.4759 0.8233 0.2430
31 Cl 0.4907 0.1485 0.4137
32 Cl 0.4907 0.8515 0.9137
33 Cl 0.6583 0.3521 0.9079
34 Cl 0.6583 0.6479 0.4079
35 Cl 0.6803 0.3569 0.2247
36 Cl 0.6803 0.6431 0.7247
37 Cl 0.6994 0.3236 0.5770
38 Cl 0.6994 0.6764 0.0770
39 Cl 0.8474 0.1884 0.7422
40 Cl 0.8474 0.8116 0.2422
41 Cl 0.8504 0.1505 0.4261
42 Cl 0.8505 0.1933 0.0763
43 Cl 0.8505 0.8067 0.5763
44 Cl 0.8504 0.8495 0.9261
45 Cl 0.9868 0.3366 0.2301
46 Cl 0.9868 0.6634 0.7301
47 Cl 0.9941 0.3036 0.5849
48 Cl 0.9941 0.6964 0.0849

Largest 12 diffraction maxima, in order of falling intensity, 10° ≤ 2θ ≤ 90°:
| Position (°2θ) | I/Imax |
| --- | --- |
| 18.2 | 100 |
| 40.2 | 34 |
| 24.9 | 30 |
| 39.2 | 17 |
| 47.9 | 16 |
| 36.8 | 15 |
| 24.2 | 15 |
| 33.0 | 14 |
| 42.5 | 13 |
| 30.1 | 12 |
| 30.7 | 12 |
| 31.0 | 12 |

[6]
Diffraction record for TbLu2Al7Ag2. The PXRD pattern is computed, not measured: it uses a PBE-relaxed structure and Cu Kα, 1.54184 Å.
Kinematic intensities with the Lorentz-polarization factor, no thermal factor.

Structural model:
Lattice parameters (Å, degrees): 9.2996 9.2996 9.2996 34.44 34.44 34.44
Fractional coordinates of all 12 atoms:
1 Tb 0.0000 0.0000 0.0000
2 Lu 0.1426 0.1426 0.1426
3 Lu 0.8574 0.8574 0.8574
4 Al 0.0767 0.5885 0.5885
5 Al 0.4115 0.4115 0.9233
6 Al 0.4115 0.9233 0.4115
7 Al 0.5000 0.5000 0.5000
8 Al 0.5885 0.0767 0.5885
9 Al 0.5885 0.5885 0.0767
10 Al 0.9233 0.4115 0.4115
11 Ag 0.3355 0.3355 0.3355
12 Ag 0.6645 0.6645 0.6645

Largest 12 diffraction maxima, in order of falling intensity, 10° ≤ 2θ ≤ 90°:
| Position (°2θ) | I/Imax |
| --- | --- |
| 38.7 | 100 |
| 32.5 | 86 |
| 20.3 | 39 |
| 30.3 | 31 |
| 62.1 | 24 |
| 18.9 | 22 |
| 23.1 | 20 |
| 33.2 | 19 |
| 63.0 | 17 |
| 68.1 | 17 |
| 58.0 | 16 |
| 37.9 | 16 |

[7]
Diffraction record for PuReB4. The PXRD pattern is computed, not measured: it uses a PBE-relaxed structure and Cu Kα, 1.54184 Å.
Kinematic intensities with the Lorentz-polarization factor, no thermal factor.

Structural model:
Lattice parameters (Å, degrees): 5.9778 11.5668 3.5814 90.00 90.00 90.00
Fractional coordinates of all 24 atoms:
1 Pu 0.1260 0.1504 0.0000
2 Pu 0.3740 0.6504 0.0000
3 Pu 0.6260 0.3496 0.0000
4 Pu 0.8740 0.8496 0.0000
5 Re 0.1348 0.4098 0.0000
6 Re 0.3652 0.9098 0.0000
7 Re 0.6348 0.0902 0.0000
8 Re 0.8652 0.5902 0.0000
9 B 0.0254 0.6923 0.5000
10 B 0.1146 0.5472 0.5000
11 B 0.1349 0.9685 0.5000
12 B 0.2119 0.8134 0.5000
13 B 0.2881 0.3134 0.5000
14 B 0.3651 0.4685 0.5000
15 B 0.3854 0.0472 0.5000
16 B 0.4746 0.1923 0.5000
17 B 0.5254 0.8077 0.5000
18 B 0.6146 0.9528 0.5000
19 B 0.6349 0.5315 0.5000
20 B 0.7119 0.6866 0.5000
21 B 0.7881 0.1866 0.5000
22 B 0.8651 0.0315 0.5000
23 B 0.8854 0.4528 0.5000
24 B 0.9746 0.3077 0.5000

Largest 12 diffraction maxima, in order of falling intensity, 10° ≤ 2θ ≤ 90°:
| Position (°2θ) | I/Imax |
| --- | --- |
| 40.1 | 100 |
| 24.9 | 90 |
| 30.9 | 87 |
| 46.0 | 33 |
| 60.8 | 27 |
| 43.0 | 27 |
| 38.1 | 25 |
| 34.5 | 21 |
| 37.4 | 19 |
| 51.0 | 18 |
| 27.5 | 17 |
| 68.0 | 15 |

[8]
Diffraction record for InAg9. The PXRD pattern is computed, not measured: it uses a PBE-relaxed structure and Cu Kα, 1.54184 Å.
Kinematic intensities with the Lorentz-polarization factor, no thermal factor.

Structural model:
Lattice parameters (Å, degrees): 2.9317 3.9220 38.8347 90.00 90.00 90.00
Fractional coordinates of all 20 atoms:
1 In 0.2500 0.2500 0.1190
2 In 0.7500 0.7500 0.8810
3 Ag 0.2500 0.2500 0.2048
4 Ag 0.2500 0.2500 0.2834
5 Ag 0.2500 0.2500 0.3626
6 Ag 0.2500 0.2500 0.4413
7 Ag 0.2500 0.2500 0.5195
8 Ag 0.2500 0.2500 0.5978
9 Ag 0.2500 0.2500 0.6769
10 Ag 0.2500 0.2500 0.7560
11 Ag 0.2500 0.2500 0.8355
12 Ag 0.7500 0.7500 0.1645
13 Ag 0.7500 0.7500 0.2440
14 Ag 0.7500 0.7500 0.3231
15 Ag 0.7500 0.7500 0.4022
16 Ag 0.7500 0.7500 0.4805
17 Ag 0.7500 0.7500 0.5587
18 Ag 0.7500 0.7500 0.6374
19 Ag 0.7500 0.7500 0.7166
20 Ag 0.7500 0.7500 0.7952

Largest 12 diffraction maxima, in order of falling intensity, 10° ≤ 2θ ≤ 90°:
| Position (°2θ) | I/Imax |
| --- | --- |
| 38.3 | 100 |
| 37.9 | 68 |
| 43.2 | 46 |
| 36.0 | 41 |
| 46.3 | 29 |
| 41.6 | 27 |
| 65.2 | 26 |
| 73.0 | 20 |
| 76.3 | 16 |
| 64.0 | 15 |
| 63.5 | 11 |
| 82.1 | 10 |

[9]
Diffraction record for Li7OsO6. The PXRD pattern is computed, not measured: it uses a PBE-relaxed structure and Cu Kα, 1.54184 Å.
Kinematic intensities with the Lorentz-polarization factor, no thermal factor.

Structural model:
Lattice parameters (Å, degrees): 5.7371 5.7371 5.7371 57.22 57.22 57.22
Fractional coordinates of all 14 atoms:
1 Li 0.0000 0.0000 0.0000
2 Li 0.1636 0.4210 0.7204
3 Li 0.1666 0.9307 0.5338
4 Li 0.4210 0.7204 0.1636
5 Li 0.5338 0.1666 0.9307
6 Li 0.7204 0.1636 0.4210
7 Li 0.9307 0.5338 0.1666
8 Os 0.6561 0.6561 0.6561
9 O 0.0189 0.7707 0.4213
10 O 0.2792 0.5816 0.8627
11 O 0.4213 0.0189 0.7707
12 O 0.5816 0.8627 0.2792
13 O 0.7707 0.4213 0.0189
14 O 0.8627 0.2792 0.5816

Largest 12 diffraction maxima, in order of falling intensity, 10° ≤ 2θ ≤ 90°:
| Position (°2θ) | I/Imax |
| --- | --- |
| 19.7 | 100 |
| 22.4 | 74 |
| 37.8 | 44 |
| 18.6 | 33 |
| 31.2 | 27 |
| 50.6 | 26 |
| 36.6 | 19 |
| 38.4 | 15 |
| 52.5 | 14 |
| 51.2 | 14 |
| 32.6 | 13 |
| 39.9 | 13 |